No. 1
# Sr2LaBiO6
Computed PXRD pattern, Cu Kα, 1.54184 Å. Input: a structure optimized by DFT (PBE).
Kinematic intensities with the Lorentz-polarization factor, no thermal factor.

Cell and atoms:
a = 6.243 Å, b = 6.243 Å, c = 6.243 Å
α = 60.00°, β = 60.00°, γ = 60.00°
Fractional positions:
Sr: 0.250 0.250 0.250
Sr: 0.750 0.750 0.750
La: 0.000 0.000 0.000
Bi: 0.500 0.500 0.500
O: 0.261 0.261 0.739
O: 0.261 0.739 0.261
O: 0.261 0.739 0.739
O: 0.739 0.261 0.261
O: 0.739 0.261 0.739
O: 0.739 0.739 0.261

Main lines, most intense first (10° ≤ 2θ ≤ 80°):
28.60 deg, d = 3.121 Å, I 100.0
50.66 deg, d = 1.802 Å, I 42.3
40.89 deg, d = 2.207 Å, I 30.7
20.12 deg, d = 4.414 Å, I 20.2
59.20 deg, d = 1.561 Å, I 19.7
67.05 deg, d = 1.396 Å, I 18.9
45.97 deg, d = 1.974 Å, I 9.3
74.46 deg, d = 1.274 Å, I 6.5
17.40 deg, d = 5.097 Å, I 5.0
63.19 deg, d = 1.471 Å, I 4.4
33.67 deg, d = 2.662 Å, I 2.5
78.06 deg, d = 1.224 Å, I 2.0



No. 2
# Sr2LaBiO6
Computed PXRD pattern, Cu Kα, 1.54184 Å. Input: a structure optimized by DFT (PBE).
Kinematic intensities with the Lorentz-polarization factor, no thermal factor.

Cell and atoms:
a = 6.052 Å, b = 6.219 Å, c = 10.550 Å
α = 90.00°, β = 124.70°, γ = 90.00°
Fractional positions:
Sr: 0.237 0.048 0.249
Sr: 0.237 0.452 0.749
Sr: 0.763 0.548 0.251
Sr: 0.763 0.952 0.751
La: 0.500 0.000 0.000
La: 0.500 0.500 0.500
Bi: 0.000 0.000 0.500
Bi: 0.000 0.500 0.000
O: 0.124 0.213 0.942
O: 0.124 0.287 0.442
O: 0.233 0.689 0.946
O: 0.233 0.811 0.446
O: 0.341 0.044 0.735
O: 0.341 0.456 0.235
O: 0.659 0.544 0.765
O: 0.659 0.956 0.265
O: 0.767 0.189 0.554
O: 0.767 0.311 0.054
O: 0.876 0.713 0.558
O: 0.876 0.787 0.058

Main lines, most intense first (10° ≤ 2θ ≤ 80°):
29.06 deg, d = 3.073 Å, I 100.0
29.18 deg, d = 3.061 Å, I 99.7
41.65 deg, d = 2.169 Å, I 72.7
20.48 deg, d = 4.337 Å, I 55.5
28.71 deg, d = 3.109 Å, I 47.7
29.52 deg, d = 3.026 Å, I 46.5
51.12 deg, d = 1.787 Å, I 36.6
52.02 deg, d = 1.758 Å, I 34.1
52.23 deg, d = 1.751 Å, I 24.7
51.37 deg, d = 1.779 Å, I 22.9
68.50 deg, d = 1.370 Å, I 17.1
68.31 deg, d = 1.373 Å, I 16.8